[1]
For HfSc3Pd6, a structure optimized by DFT (GGA-PBE) gives the computed powder XRD pattern in this record (Cu Kα, 1.54184 Å).
Kinematic intensities with the Lorentz-polarization factor, no thermal factor.

Structural model:
Cell: 4.589 8.075 9.753 Å, 75.73 89.98 90.00°
Sites, in units of the cell vectors:
Hf 0.250 0.065 0.119
Hf 0.750 0.935 0.881
Sc 0.250 0.653 0.306
Sc 0.251 0.464 0.891
Sc 0.252 0.231 0.477
Sc 0.748 0.769 0.523
Sc 0.749 0.536 0.109
Sc 0.750 0.347 0.694
Pd 0.248 0.927 0.405
Pd 0.249 0.375 0.186
Pd 0.250 0.146 0.813
Pd 0.250 0.538 0.594
Pd 0.250 0.767 0.014
Pd 0.251 0.845 0.707
Pd 0.749 0.155 0.293
Pd 0.750 0.233 0.986
Pd 0.750 0.462 0.406
Pd 0.750 0.854 0.187
Pd 0.751 0.625 0.814
Pd 0.752 0.073 0.595

Principal peaks in the range 2θ = 10–80°, by angle:
2θ = 11.31°, I = 23.2
2θ = 16.39°, I = 10.9
2θ = 38.68°, I = 100.0
2θ = 38.80°, I = 94.1
2θ = 39.26°, I = 50.6
2θ = 39.39°, I = 42.1
2θ = 55.05°, I = 16.1
2θ = 56.83°, I = 28.2
2θ = 69.69°, I = 16.3
2θ = 70.78°, I = 16.1
2θ = 70.87°, I = 26.9
2θ = 71.11°, I = 10.9

***

[2]
For Hf3ScPd4, a structure optimized by DFT (GGA-PBE) gives the computed powder XRD pattern in this record (Cu Kα, 1.54184 Å).
Kinematic intensities with the Lorentz-polarization factor, no thermal factor.

Structural model:
Cell: 3.415 4.631 9.275 Å, 90.00 90.00 90.00°
Sites, in units of the cell vectors:
Hf 0.000 0.000 0.000
Hf 0.000 0.500 0.252
Hf 0.000 0.500 0.748
Sc 0.000 0.000 0.500
Pd 0.500 0.000 0.243
Pd 0.500 0.000 0.757
Pd 0.500 0.500 0.000
Pd 0.500 0.500 0.500

Principal peaks in the range 2θ = 10–80°, by angle:
2θ = 19.15°, I = 4.6
2θ = 21.45°, I = 4.4
2θ = 27.22°, I = 2.2
2θ = 27.84°, I = 1.5
2θ = 32.57°, I = 2.6
2θ = 34.02°, I = 2.1
2θ = 38.06°, I = 100.0
2θ = 38.87°, I = 47.1
2θ = 53.69°, I = 9.2
2θ = 56.14°, I = 16.0
2θ = 68.23°, I = 17.7
2θ = 69.85°, I = 32.9

***

[3]
For HfScPd3, a structure optimized by DFT (GGA-PBE) gives the computed powder XRD pattern in this record (Cu Kα, 1.54184 Å).
Kinematic intensities with the Lorentz-polarization factor, no thermal factor.

Structural model:
Cell: 5.203 5.203 9.214 Å, 92.65 92.65 44.71°
Sites, in units of the cell vectors:
Hf 0.145 0.145 0.079
Hf 0.855 0.855 0.921
Sc 0.356 0.356 0.425
Sc 0.644 0.644 0.575
Pd 0.058 0.058 0.359
Pd 0.249 0.249 0.752
Pd 0.442 0.442 0.137
Pd 0.558 0.558 0.863
Pd 0.751 0.751 0.248
Pd 0.942 0.942 0.641

Principal peaks in the range 2θ = 10–80°, by angle:
2θ = 30.93°, I = 8.8
2θ = 37.79°, I = 100.0
2θ = 37.91°, I = 87.7
2θ = 41.51°, I = 35.4
2θ = 44.50°, I = 25.3
2θ = 45.85°, I = 29.3
2θ = 62.31°, I = 10.6
2θ = 63.55°, I = 19.6
2θ = 65.81°, I = 15.4
2θ = 73.20°, I = 13.8
2θ = 73.43°, I = 8.7
2θ = 79.47°, I = 20.9

***

[4]
For SmHfPd, a structure optimized by DFT (GGA-PBE) gives the computed powder XRD pattern in this record (Cu Kα, 1.54184 Å).
Kinematic intensities with the Lorentz-polarization factor, no thermal factor.

Structural model:
Cell: 4.792 4.771 12.083 Å, 90.00 90.08 90.00°
Sites, in units of the cell vectors:
Sm 0.250 0.000 0.123
Sm 0.250 0.500 0.877
Sm 0.750 0.000 0.877
Sm 0.750 0.500 0.123
Hf 0.250 0.000 0.419
Hf 0.250 0.500 0.581
Hf 0.750 0.000 0.581
Hf 0.750 0.500 0.419
Pd 0.250 0.000 0.706
Pd 0.250 0.500 0.294
Pd 0.750 0.000 0.294
Pd 0.750 0.500 0.706

Principal peaks in the range 2θ = 10–80°, by angle:
2θ = 27.39°, I = 10.4
2θ = 29.57°, I = 9.5
2θ = 34.64°, I = 100.0
2θ = 37.54°, I = 29.4
2θ = 37.71°, I = 29.0
2θ = 40.03°, I = 31.8
2θ = 54.26°, I = 20.3
2θ = 60.18°, I = 10.4
2θ = 65.88°, I = 15.5
2θ = 66.11°, I = 15.3
2θ = 66.89°, I = 11.1
2θ = 79.33°, I = 10.0

***

[5]
For HfSnPd5, a structure optimized by DFT (GGA-PBE) gives the computed powder XRD pattern in this record (Cu Kα, 1.54184 Å).
Kinematic intensities with the Lorentz-polarization factor, no thermal factor.

Structural model:
Cell: 6.487 6.487 7.115 Å, 108.70 108.70 102.36°
Sites, in units of the cell vectors:
Hf 0.043 0.957 0.750
Hf 0.957 0.043 0.250
Sn 0.500 0.500 0.000
Sn 0.500 0.500 0.500
Pd 0.025 0.700 0.351
Pd 0.142 0.371 0.104
Pd 0.300 0.975 0.149
Pd 0.302 0.698 0.750
Pd 0.371 0.142 0.604
Pd 0.629 0.858 0.396
Pd 0.698 0.302 0.250
Pd 0.700 0.025 0.851
Pd 0.858 0.629 0.896
Pd 0.975 0.300 0.649

Principal peaks in the range 2θ = 10–80°, by angle:
2θ = 15.41°, I = 17.5
2θ = 31.12°, I = 14.5
2θ = 34.62°, I = 78.1
2θ = 35.62°, I = 37.8
2θ = 36.80°, I = 100.0
2θ = 38.55°, I = 52.9
2θ = 38.75°, I = 74.0
2θ = 40.25°, I = 18.5
2θ = 42.21°, I = 36.7
2θ = 43.96°, I = 28.6
2θ = 44.23°, I = 39.8
2θ = 78.14°, I = 16.0

***

[6]
For TbHfPd6, a structure optimized by DFT (GGA-PBE) gives the computed powder XRD pattern in this record (Cu Kα, 1.54184 Å).
Kinematic intensities with the Lorentz-polarization factor, no thermal factor.

Structural model:
Cell: 4.068 4.068 8.146 Å, 90.00 90.00 90.00°
Sites, in units of the cell vectors:
Tb 0.000 0.000 0.000
Hf 0.000 0.000 0.500
Pd 0.000 0.500 0.261
Pd 0.000 0.500 0.739
Pd 0.500 0.000 0.261
Pd 0.500 0.000 0.739
Pd 0.500 0.500 0.000
Pd 0.500 0.500 0.500

Principal peaks in the range 2θ = 10–80°, by angle:
2θ = 10.86°, I = 1.2
2θ = 21.84°, I = 4.3
2θ = 31.08°, I = 3.6
2θ = 38.31°, I = 100.0
2θ = 44.53°, I = 48.7
2θ = 45.97°, I = 0.9
2θ = 50.12°, I = 2.1
2θ = 55.29°, I = 1.7
2θ = 64.80°, I = 31.1
2θ = 69.26°, I = 1.1
2θ = 73.61°, I = 0.7
2θ = 77.85°, I = 36.2

***

[7]
For Hf5TcPd4, a structure optimized by DFT (GGA-PBE) gives the computed powder XRD pattern in this record (Cu Kα, 1.54184 Å).
Kinematic intensities with the Lorentz-polarization factor, no thermal factor.

Structural model:
Cell: 3.320 3.320 16.490 Å, 90.00 90.00 90.00°
Sites, in units of the cell vectors:
Hf 0.000 0.000 0.000
Hf 0.000 0.000 0.200
Hf 0.000 0.000 0.405
Hf 0.000 0.000 0.595
Hf 0.000 0.000 0.800
Tc 0.500 0.500 0.500
Pd 0.500 0.500 0.104
Pd 0.500 0.500 0.302
Pd 0.500 0.500 0.698
Pd 0.500 0.500 0.896

Principal peaks in the range 2θ = 10–80°, by angle:
2θ = 26.85°, I = 7.4
2θ = 27.04°, I = 3.6
2θ = 38.34°, I = 51.0
2θ = 38.48°, I = 100.0
2θ = 47.54°, I = 3.4
2θ = 55.34°, I = 17.6
2θ = 55.75°, I = 8.3
2θ = 62.61°, I = 3.1
2θ = 62.93°, I = 1.5
2θ = 69.42°, I = 35.1
2θ = 69.69°, I = 16.9

***

[8]
For HfTh4Pd15, a structure optimized by DFT (GGA-PBE) gives the computed powder XRD pattern in this record (Cu Kα, 1.54184 Å).
Kinematic intensities with the Lorentz-polarization factor, no thermal factor.

Structural model:
Cell: 4.195 4.195 20.771 Å, 90.00 90.00 90.00°
Sites, in units of the cell vectors:
Hf 0.000 0.000 0.000
Th 0.000 0.000 0.193
Th 0.000 0.000 0.398
Th 0.000 0.000 0.602
Th 0.000 0.000 0.807
Pd 0.000 0.500 0.092
Pd 0.000 0.500 0.296
Pd 0.000 0.500 0.500
Pd 0.000 0.500 0.704
Pd 0.000 0.500 0.908
Pd 0.500 0.000 0.092
Pd 0.500 0.000 0.296
Pd 0.500 0.000 0.500
Pd 0.500 0.000 0.704
Pd 0.500 0.000 0.908
Pd 0.500 0.500 0.000
Pd 0.500 0.500 0.195
Pd 0.500 0.500 0.398
Pd 0.500 0.500 0.602
Pd 0.500 0.500 0.805

Principal peaks in the range 2θ = 10–80°, by angle:
2θ = 21.18°, I = 7.6
2θ = 21.39°, I = 3.7
2θ = 30.13°, I = 3.4
2θ = 30.28°, I = 6.4
2θ = 37.25°, I = 100.0
2θ = 43.13°, I = 34.0
2θ = 43.57°, I = 15.0
2θ = 62.64°, I = 11.2
2θ = 62.98°, I = 20.0
2θ = 75.19°, I = 25.5
2θ = 75.82°, I = 10.3
2θ = 79.39°, I = 10.3

***

[9]
For HfTiPd4, a structure optimized by DFT (GGA-PBE) gives the computed powder XRD pattern in this record (Cu Kα, 1.54184 Å).
Kinematic intensities with the Lorentz-polarization factor, no thermal factor.

Structural model:
Cell: 4.758 8.714 4.752 Å, 90.00 95.07 90.00°
Sites, in units of the cell vectors:
Hf 0.000 0.000 0.000
Hf 0.500 0.500 0.000
Ti 0.000 0.500 0.500
Ti 0.500 0.000 0.500
Pd 0.000 0.161 0.500
Pd 0.000 0.341 0.000
Pd 0.000 0.659 0.000
Pd 0.000 0.839 0.500
Pd 0.500 0.159 0.000
Pd 0.500 0.339 0.500
Pd 0.500 0.661 0.500
Pd 0.500 0.841 0.000

Principal peaks in the range 2θ = 10–80°, by angle:
2θ = 18.75°, I = 10.8
2θ = 21.34°, I = 15.5
2θ = 27.83°, I = 9.2
2θ = 38.00°, I = 100.0
2θ = 40.31°, I = 83.7
2θ = 41.94°, I = 74.7
2θ = 52.16°, I = 21.4
2θ = 57.41°, I = 15.1
2θ = 64.12°, I = 10.1
2θ = 69.06°, I = 33.1
2θ = 72.47°, I = 28.7
2θ = 77.02°, I = 23.4

***

[10]
For Hf2TiPd3, a structure optimized by DFT (GGA-PBE) gives the computed powder XRD pattern in this record (Cu Kα, 1.54184 Å).
Kinematic intensities with the Lorentz-polarization factor, no thermal factor.

Structural model:
Cell: 4.506 3.380 7.279 Å, 90.00 107.79 90.00°
Sites, in units of the cell vectors:
Hf 0.167 0.000 0.335
Hf 0.833 0.000 0.665
Ti 0.500 0.000 0.000
Pd 0.000 0.500 0.000
Pd 0.350 0.500 0.700
Pd 0.650 0.500 0.300

Principal peaks in the range 2θ = 10–80°, by angle:
2θ = 38.58°, I = 100.0
2θ = 38.98°, I = 22.2
2θ = 40.02°, I = 23.2
2θ = 54.28°, I = 9.5
2θ = 56.97°, I = 7.3
2θ = 57.23°, I = 7.2
2θ = 68.83°, I = 8.2
2θ = 69.53°, I = 8.9
2θ = 70.25°, I = 6.6
2θ = 70.43°, I = 6.6
2θ = 71.64°, I = 8.4
2θ = 71.82°, I = 7.9

***

[11]
For Hf2Ti2Pd5, a structure optimized by DFT (GGA-PBE) gives the computed powder XRD pattern in this record (Cu Kα, 1.54184 Å).
Kinematic intensities with the Lorentz-polarization factor, no thermal factor.

Structural model:
Cell: 8.773 8.773 8.773 Å, 65.93 127.80 142.65°
Sites, in units of the cell vectors:
Hf 0.000 0.000 0.000
Hf 0.000 0.500 0.500
Hf 0.051 0.192 0.359
Hf 0.834 0.692 0.641
Ti 0.426 0.580 0.994
Ti 0.426 0.932 0.346
Ti 0.587 0.080 0.654
Ti 0.587 0.432 0.006
Pd 0.293 0.790 0.821
Pd 0.293 0.972 0.003
Pd 0.426 0.225 0.702
Pd 0.486 0.330 0.345
Pd 0.486 0.641 0.656
Pd 0.523 0.725 0.298
Pd 0.969 0.290 0.997
Pd 0.969 0.472 0.179
Pd 0.985 0.141 0.655
Pd 0.985 0.830 0.344

Principal peaks in the range 2θ = 10–80°, by angle:
2θ = 19.54°, I = 35.7
2θ = 28.71°, I = 21.6
2θ = 31.28°, I = 21.8
2θ = 32.55°, I = 27.8
2θ = 33.65°, I = 63.0
2θ = 34.52°, I = 21.5
2θ = 38.73°, I = 46.4
2θ = 39.55°, I = 46.5
2θ = 39.69°, I = 52.8
2θ = 40.42°, I = 100.0
2θ = 41.83°, I = 50.7
2θ = 44.66°, I = 21.4

***

[12]
For Hf2TlPd9, a structure optimized by DFT (GGA-PBE) gives the computed powder XRD pattern in this record (Cu Kα, 1.54184 Å).
Kinematic intensities with the Lorentz-polarization factor, no thermal factor.

Structural model:
Cell: 4.030 4.030 12.166 Å, 90.00 90.00 90.00°
Sites, in units of the cell vectors:
Hf 0.000 0.000 0.167
Hf 0.000 0.000 0.833
Tl 0.000 0.000 0.500
Pd 0.000 0.500 0.000
Pd 0.000 0.500 0.324
Pd 0.000 0.500 0.676
Pd 0.500 0.000 0.000
Pd 0.500 0.000 0.324
Pd 0.500 0.000 0.676
Pd 0.500 0.500 0.163
Pd 0.500 0.500 0.500
Pd 0.500 0.500 0.837

Principal peaks in the range 2θ = 10–80°, by angle:
2θ = 21.92°, I = 2.3
2θ = 22.06°, I = 4.4
2θ = 31.32°, I = 5.7
2θ = 38.61°, I = 100.0
2θ = 44.69°, I = 16.0
2θ = 44.99°, I = 32.7
2θ = 50.61°, I = 2.2
2θ = 55.82°, I = 1.6
2θ = 65.28°, I = 20.5
2θ = 65.51°, I = 10.5
2θ = 78.28°, I = 11.6
2θ = 78.70°, I = 24.7